Record 1
The following is a computed powder X-ray diffraction pattern of CsY2MnTe4. It was derived from a structure optimized by DFT (PBE), using Cu Kα X-rays.

Peak list (10 most intense, 2θ from 5° to 70°, sorted by position)
Position (°2θ)  d/Å  I/Imax
25.5  3.496  52
26.8  3.322  100
27.0  3.306  20
28.6  3.116  67
38.3  2.349  18
39.0  2.309  40
39.2  2.298  18
40.6  2.225  40
48.5  1.877  27
48.9  1.863  19

Crystal structure
Unit cell a=8.2093 b=8.2093 c=15.5913 alpha=90.00 beta=90.00 gamma=148.54
Positions (direct):
Cs1 0.1108 0.8892 0.7500
Cs2 0.8892 0.1108 0.2500
Y1 0.3705 0.6295 0.5612
Y2 0.3705 0.6295 0.9388
Y3 0.6295 0.3705 0.0612
Y4 0.6295 0.3705 0.4388
Mn1 0.1687 0.8313 0.2500
Mn2 0.8313 0.1687 0.7500
Te1 0.0000 0.0000 0.0000
Te2 0.0000 0.0000 0.5000
Te3 0.2596 0.7404 0.1057
Te4 0.2596 0.7404 0.3943
Te5 0.4281 0.5719 0.7500
Te6 0.5719 0.4281 0.2500
Te7 0.7404 0.2596 0.6057
Te8 0.7404 0.2596 0.8943


Record 2
The following is a computed powder X-ray diffraction pattern of CsYMnTe4. It was derived from a structure optimized by DFT (PBE), using Cu Kα X-rays.

Peak list (10 most intense, 2θ from 5° to 70°, sorted by position)
Position (°2θ)  d/Å  I/Imax
8.8  10.100  42
25.2  3.528  27
25.7  3.465  39
26.9  3.318  43
28.1  3.178  100
28.5  3.127  62
29.6  3.018  40
30.3  2.948  40
30.7  2.916  43
33.3  2.688  25

Crystal structure
Unit cell a=6.9765 b=7.2612 c=10.6199 alpha=90.00 beta=107.99 gamma=90.00
Positions (direct):
Cs1 0.1841 0.2500 0.4447
Cs2 0.8159 0.7500 0.5553
Y1 0.3165 0.7500 0.0450
Y2 0.6835 0.2500 0.9550
Mn1 0.1096 0.2500 0.8348
Mn2 0.8904 0.7500 0.1652
Te1 0.1567 0.2500 0.0792
Te2 0.2428 0.7500 0.3244
Te3 0.3324 0.5103 0.7963
Te4 0.3324 0.9897 0.7963
Te5 0.6676 0.0103 0.2037
Te6 0.6676 0.4897 0.2037
Te7 0.7572 0.2500 0.6756
Te8 0.8433 0.7500 0.9208


Record 3
The following is a computed powder X-ray diffraction pattern of Cs2YMn. It was derived from a structure optimized by DFT (PBE), using Cu Kα X-rays.

Peak list (10 most intense, 2θ from 5° to 70°, sorted by position)
Position (°2θ)  d/Å  I/Imax
16.6  5.344  2
19.2  4.628  9
27.3  3.272  100
33.5  2.672  3
38.9  2.314  19
43.7  2.070  4
48.2  1.889  40
56.2  1.636  13
60.0  1.543  2
63.6  1.463  17

Crystal structure
Unit cell a=6.5446 b=6.5446 c=6.5446 alpha=60.00 beta=60.00 gamma=60.00
Positions (direct):
Cs1 0.2500 0.2500 0.2500
Cs2 0.7500 0.7500 0.7500
Y1 0.0000 0.0000 0.0000
Mn1 0.5000 0.5000 0.5000


Record 4
The following is a computed powder X-ray diffraction pattern of CsMo. It was derived from a structure optimized by DFT (PBE), using Cu Kα X-rays.

Peak list (10 most intense, 2θ from 5° to 70°, sorted by position)
Position (°2θ)  d/Å  I/Imax
10.0  8.847  100
10.3  8.602  43
20.1  4.424  31
22.4  3.970  33
23.3  3.812  71
26.4  3.372  51
27.8  3.211  30
34.0  2.635  30
36.8  2.443  41
38.6  2.333  27

Crystal structure
Unit cell a=4.6670 b=10.3158 c=17.2039 alpha=90.00 beta=90.00 gamma=90.00
Positions (direct):
Cs1 0.2468 0.0625 0.4521
Cs2 0.2485 0.4714 0.2828
Cs3 0.2515 0.5286 0.7828
Cs4 0.2532 0.9375 0.9521
Cs5 0.7468 0.4375 0.5479
Cs6 0.7485 0.0286 0.7172
Cs7 0.7515 0.9714 0.2172
Cs8 0.7532 0.5625 0.0479
Mo1 0.2449 0.7011 0.4639
Mo2 0.2449 0.7619 0.5911
Mo3 0.2551 0.2381 0.0911
Mo4 0.2551 0.2989 0.9639
Mo5 0.7449 0.7381 0.4089
Mo6 0.7449 0.7989 0.5361
Mo7 0.7551 0.2011 0.0361
Mo8 0.7551 0.2619 0.9089


Record 5
The following is a computed powder X-ray diffraction pattern of CsNpMoN4. It was derived from a structure optimized by DFT (PBE), using Cu Kα X-rays.

Peak list (10 most intense, 2θ from 5° to 70°, sorted by position)
Position (°2θ)  d/Å  I/Imax
10.8  8.196  100
23.5  3.779  34
24.1  3.700  52
26.4  3.371  56
30.0  2.975  36
30.2  2.964  42
41.0  2.199  28
48.2  1.889  22
48.9  1.861  20
50.0  1.823  18

Crystal structure
Unit cell a=5.9592 b=5.9273 c=8.2020 alpha=90.00 beta=92.11 gamma=90.00
Positions (direct):
Cs1 0.2353 0.2500 0.1113
Cs2 0.7647 0.7500 0.8887
Np1 0.1856 0.7500 0.4631
Np2 0.8144 0.2500 0.5369
Mo1 0.3249 0.2500 0.6441
Mo2 0.6751 0.7500 0.3559
N1 0.1094 0.0116 0.6479
N2 0.1094 0.4884 0.6479
N3 0.3904 0.7500 0.2479
N4 0.4557 0.2500 0.4468
N5 0.5443 0.7500 0.5532
N6 0.6096 0.2500 0.7521
N7 0.8906 0.5116 0.3521
N8 0.8906 0.9884 0.3521


Record 6
The following is a computed powder X-ray diffraction pattern of CsSiMoN. It was derived from a structure optimized by DFT (PBE), using Cu Kα X-rays.

Peak list (10 most intense, 2θ from 5° to 70°, sorted by position)
Position (°2θ)  d/Å  I/Imax
24.4  3.654  66
26.2  3.406  100
26.9  3.310  57
28.2  3.161  70
31.9  2.807  24
36.6  2.453  87
37.9  2.374  57
39.4  2.286  67
51.1  1.786  24
62.4  1.488  24

Crystal structure
Unit cell a=3.9500 b=3.3097 c=6.9086 alpha=90.00 beta=99.63 gamma=90.00
Positions (direct):
Cs1 0.0000 0.0000 0.0000
Si1 0.0813 0.5000 0.5316
Mo1 0.5841 0.0000 0.4554
N1 0.6796 0.5000 0.3135


Record 7
The following is a computed powder X-ray diffraction pattern of CsZrMoN4. It was derived from a structure optimized by DFT (PBE), using Cu Kα X-rays.

Peak list (10 most intense, 2θ from 5° to 70°, sorted by position)
Position (°2θ)  d/Å  I/Imax
11.2  7.930  41
21.7  4.098  45
22.0  4.044  35
22.2  4.009  38
22.4  3.965  41
26.9  3.312  100
27.4  3.252  56
29.7  3.013  81
36.1  2.485  49
44.2  2.049  37

Crystal structure
Unit cell a=5.8929 b=6.0259 c=8.3621 alpha=90.00 beta=108.49 gamma=90.00
Positions (direct):
Cs1 0.2190 0.2500 0.4416
Cs2 0.7810 0.7500 0.5584
Zr1 0.3136 0.2500 0.9557
Zr2 0.6864 0.7500 0.0443
Mo1 0.2208 0.7500 0.1274
Mo2 0.7792 0.2500 0.8726
N1 0.0094 0.2500 0.0777
N2 0.0161 0.7500 0.2610
N3 0.4441 0.5184 0.1396
N4 0.4441 0.9816 0.1396
N5 0.5559 0.0184 0.8604
N6 0.5559 0.4816 0.8604
N7 0.9839 0.2500 0.7390
N8 0.9906 0.7500 0.9223